Structure and simulated powder XRD pattern of CaH4N2 (the PBE geometry in the Materials Project; Cu Kα (λ = 1.5418 Å)).

Structure:
```
data_CaH4N2
_cell_length_a 6.3604
_cell_length_b 7.3286
_cell_length_c 6.3085
_cell_angle_alpha 90.00
_cell_angle_beta 109.39
_cell_angle_gamma 90.00
_space_group_name_H-M_alt 'P 1 21/c 1'
_space_group_IT_number 14
loop_
_space_group_symop_operation_xyz
'x,y,z'
'-x,-y,-z'
'-x,y+1/2,-z+1/2'
'x,-y+1/2,z+1/2'
loop_
_atom_site_label
_atom_site_fract_x
_atom_site_fract_y
_atom_site_fract_z
Ca1 0.2490 0.1209 0.4957
H1 0.0661 0.0283 0.8765
H2 0.1178 0.6813 0.7481
H3 0.3724 0.7296 0.1655
H4 0.4673 0.5882 0.3716
N1 0.0245 0.1191 0.7447
N2 0.4986 0.6370 0.2318
```

Peak list (10 most intense, 5° ≤ 2θ ≤ 70°, by intensity)
| index | 2θ/deg | d/Å | intensity |
| --- | --- | --- | --- |
| 0 1 1 | 19.17 | 4.630 | 100 |
| 1 2 1 | 34.66 | 2.588 | 93 |
| 1 3 0 | 39.85 | 2.262 | 26 |
| 0 4 0 | 49.71 | 1.834 | 25 |
| 1 2 -3 | 50.01 | 1.824 | 17 |
| 2 1 -1 | 31.08 | 2.877 | 14 |
| 1 1 -2 | 31.26 | 2.861 | 12 |
| 2 1 -3 | 47.46 | 1.916 | 9 |
| 2 0 2 | 49.82 | 1.830 | 8 |
| 1 1 2 | 39.97 | 2.255 | 8 |